Structure and computed powder XRD pattern of MgCo2S4 (a PBE-relaxed structure; a wavelength of 1.5418 Å).
Intensities are scaled so that the largest is 100.

Cell and atoms:
a = 6.8603 Å, b = 6.9317 Å, c = 9.7076 Å
α = 90.00°, β = 90.00°, γ = 90.00°
Space group Imma (No. 74)
Unique sites:
Mg (0.2500, 0.2500, 0.2500) [4 per cell]
Co (0.0000, 0.0000, 0.0000) [4 per cell]
Co (0.0000, 0.2500, 0.6231) [4 per cell]
S (0.0000, 0.0091, 0.7644) [8 per cell]
S (0.2249, 0.2500, 0.9916) [8 per cell]

Top 6 peaks for 2θ from 10° to 90°, most intense first:
- 2θ = 53.3°, d 1.720, I 100
- 2θ = 30.5°, d 2.930, I 92
- 2θ = 30.3°, d 2.947, I 77
- 2θ = 25.9°, d 3.436, I 70
- 2θ = 36.9°, d 2.438, I 50
- 2θ = 48.6°, d 1.873, I 39